Simulated powder diffractogram of Pr4Te5S for Cu Kα (weighted mean of Kα1 and Kα2), from the GGA-PBE geometry in Alexandria.
Lines closer than 0.1° are merged.

The 8 most intense peaks (10 to 90 degrees two-theta), in order of rising 2θ:
2θ 15.6, I 164, (2 0 1)
2θ 28.2, I 516, (6 0 0)
2θ 28.5, I 1000, (1 1 -2)
2θ 40.2, I 390, (7 1 -2)
2θ 40.6, I 193, (0 2 0)
2θ 40.9, I 554, (5 1 2)
2θ 50.2, I 207, (6 2 0)
2θ 66.7, I 172, (1 3 -2)

Structure:
```
data_Pr4Te5S
_chemical_formula_sum 'Pr8 Te10 S2'
_cell_length_a 19.577
_cell_length_b 4.440
_cell_length_c 8.836
_cell_angle_alpha 90.00
_cell_angle_beta 104.38
_cell_angle_gamma 90.00
_space_group_name_H-M_alt 'C 1 2/m 1'
_space_group_IT_number 12
_space_group_name_Hall '-C 2y'
loop_
_atom_site_label
_atom_site_type_symbol
_atom_site_fract_x
_atom_site_fract_y
_atom_site_fract_z
_atom_site_occupancy
Pr1 Pr 0.002 0.000 0.244 1
Pr2 Pr 0.169 0.500 0.099 1
Te1 Te 0.000 0.500 0.500 1
Te2 Te 0.163 0.000 0.342 1
Te3 Te 0.165 0.000 0.834 1
S1 S 0.000 0.500 0.000 1
```

Simulated powder diffractogram of Pr3Te2S2 for Cu Kα (weighted mean of Kα1 and Kα2), from the GGA-PBE geometry in Alexandria.
Lines closer than 0.1° are merged.

The 8 most intense peaks (10 to 90 degrees two-theta), in order of rising 2θ:
2θ 12.5, I 319, (0 1 0)
2θ 20.1, I 287, (0 1 1)
2θ 28.0, I 1000, (1 1 -2)
2θ 31.3, I 328, (0 2 1)
2θ 39.1, I 241, (0 2 -3)
2θ 42.1, I 264, (1 -3 0)
2θ 42.8, I 290, (-1 1 3)
2θ 52.4, I 199, (-2 2 2)

Structure:
```
data_Pr3Te2S2
_chemical_formula_sum 'Pr3 Te2 S2'
_cell_length_a 4.419
_cell_length_b 7.428
_cell_length_c 7.744
_cell_angle_alpha 106.35
_cell_angle_beta 106.56
_cell_angle_gamma 90.01
_space_group_name_H-M_alt 'P -1'
_space_group_IT_number 2
_space_group_name_Hall '-P 1'
loop_
_atom_site_label
_atom_site_type_symbol
_atom_site_fract_x
_atom_site_fract_y
_atom_site_fract_z
_atom_site_occupancy
Pr1 Pr 0.000 0.000 0.000 1
Pr2 Pr 0.248 0.733 0.496 1
Te1 Te 0.390 0.167 0.780 1
S1 S 0.149 0.345 0.296 1
```